(1)
Diffraction record for Cs2LiU2S7. The powder X-ray diffraction pattern is theoretical, not measured: it uses a structure optimized by DFT (PBE) and Cu Kα, 1.54184 Å.
Neutral-atom scattering factors, no anomalous dispersion.

Peak list (6 most intense, 15° ≤ 2θ ≤ 90°, in order of rising 2θ)
- 2θ 17.34, rel. 656
- 2θ 23.44, rel. 1000
- 2θ 24.19, rel. 633
- 2θ 34.47, rel. 498
- 2θ 42.11, rel. 451
- 2θ 47.94, rel. 225

Atomic structure:
Lattice parameters (Å, degrees): 14.3462 14.3447 5.2037 79.57 79.53 20.90
Fractional positions:
Cs 0.1856 0.1856 0.8144
Cs 0.8144 0.8144 0.1856
Li 0.0000 0.0000 0.0000
U 0.4075 0.4075 0.5925
U 0.5925 0.5925 0.4075
S 0.0879 0.0879 0.4121
S 0.3186 0.3186 0.6814
S 0.4121 0.4121 0.0879
S 0.5000 0.5000 0.5000
S 0.5879 0.5879 0.9121
S 0.6814 0.6814 0.3186
S 0.9121 0.9121 0.5879

=====

(2)
Diffraction record for CsLiUS4. The powder X-ray diffraction pattern is theoretical, not measured: it uses a structure optimized by DFT (PBE) and Cu Kα, 1.54184 Å.
Neutral-atom scattering factors, no anomalous dispersion.

Peak list (6 most intense, 15° ≤ 2θ ≤ 90°, in order of rising 2θ)
- 2θ 20.41, rel. 271
- 2θ 20.75, rel. 1000
- 2θ 22.06, rel. 673
- 2θ 26.41, rel. 372
- 2θ 33.61, rel. 304
- 2θ 35.09, rel. 356

Atomic structure:
Lattice parameters (Å, degrees): 6.6364 6.7491 8.7494 90.00 95.80 90.00
Fractional positions:
Cs 0.2158 0.2500 0.0581
Cs 0.7842 0.7500 0.9419
Li 0.3545 0.2500 0.6558
Li 0.6455 0.7500 0.3442
U 0.1741 0.7500 0.4540
U 0.8259 0.2500 0.5460
S 0.0925 0.5030 0.6785
S 0.0925 0.9970 0.6785
S 0.3226 0.7500 0.2016
S 0.4771 0.2500 0.4148
S 0.5229 0.7500 0.5852
S 0.6774 0.2500 0.7984
S 0.9075 0.0030 0.3215
S 0.9075 0.4970 0.3215

=====

(3)
Diffraction record for CsLiSb2. The powder X-ray diffraction pattern is theoretical, not measured: it uses a structure optimized by DFT (PBE) and Cu Kα, 1.54184 Å.
Neutral-atom scattering factors, no anomalous dispersion.

Peak list (6 most intense, 15° ≤ 2θ ≤ 90°, in order of rising 2θ)
- 2θ 20.40, rel. 1000
- 2θ 23.23, rel. 306
- 2θ 27.56, rel. 477
- 2θ 31.74, rel. 442
- 2θ 34.33, rel. 533
- 2θ 47.50, rel. 343

Atomic structure:
Lattice parameters (Å, degrees): 5.8944 5.8944 19.3634 90.00 90.00 90.00
Fractional positions:
Cs 0.0000 0.2500 0.3750
Cs 0.0000 0.7500 0.6250
Cs 0.5000 0.2500 0.1250
Cs 0.5000 0.7500 0.8750
Li 0.0000 0.2500 0.8750
Li 0.0000 0.7500 0.1250
Li 0.5000 0.2500 0.6250
Li 0.5000 0.7500 0.3750
Sb 0.0000 0.0000 0.0000
Sb 0.0000 0.5000 0.0000
Sb 0.2500 0.2500 0.7500
Sb 0.2500 0.7500 0.2500
Sb 0.5000 0.0000 0.5000
Sb 0.5000 0.5000 0.5000
Sb 0.7500 0.2500 0.7500
Sb 0.7500 0.7500 0.2500